1.
The following is a theoretical XRD peak list of SrCaV4O12. It was derived from DFT lattice parameters and positions (GGA+U), using a wavelength of 1.5418 Å.
Neutral-atom scattering factors, no anomalous dispersion.

Largest 10 diffraction maxima, by angle, 2θ = 10–80°:
4.352 Å, 20.4°, I 59; 3.769 Å, 23.6°, I 38; 2.665 Å, 33.6°, I 100; 2.273 Å, 39.7°, I 30; 2.176 Å, 41.5°, I 8; 1.886 Å, 48.3°, I 42; 1.882 Å, 48.4°, I 21; 1.729 Å, 52.9°, I 13; 1.539 Å, 60.1°, I 37; 1.333 Å, 70.7°, I 33

```
data_SrCaV4O12
_cell_length_a 5.3277
_cell_length_b 5.3277
_cell_length_c 7.5456
_cell_angle_alpha 90.00
_cell_angle_beta 90.00
_cell_angle_gamma 90.09
_space_group_name_H-M_alt 'P 1'
_space_group_IT_number 1
_space_group_name_Hall 'P 1'
loop_
_atom_site_label
_atom_site_type_symbol
_atom_site_fract_x
_atom_site_fract_y
_atom_site_fract_z
Sr1 Sr 0.0000 0.0000 0.0000
Ca1 Ca 0.5000 0.5000 0.5000
V1 V 0.0000 0.5000 0.2506
V2 V 0.0000 0.5000 0.7494
V3 V 0.5000 0.0000 0.2506
V4 V 0.5000 0.0000 0.7494
O1 O 0.0000 0.5000 0.0000
O2 O 0.0000 0.5000 0.5000
O3 O 0.2372 0.7628 0.2507
O4 O 0.2372 0.7628 0.7493
O5 O 0.2643 0.2643 0.2509
O6 O 0.2643 0.2643 0.7491
O7 O 0.5000 0.0000 0.0000
O8 O 0.5000 0.0000 0.5000
O9 O 0.7357 0.7357 0.2509
O10 O 0.7357 0.7357 0.7491
O11 O 0.7628 0.2372 0.2507
O12 O 0.7628 0.2372 0.7493
```

***

2.
The following is a theoretical XRD peak list of Sr3CaV4O12. It was derived from DFT lattice parameters and positions (GGA+U), using a wavelength of 1.5418 Å.
Neutral-atom scattering factors, no anomalous dispersion.

Largest 10 diffraction maxima, by angle, 2θ = 10–80°:
2.778 Å, 32.2°, I 100; 2.771 Å, 32.3°, I 99; 2.735 Å, 32.7°, I 96; 2.256 Å, 40.0°, I 38; 1.991 Å, 45.6°, I 45; 1.934 Å, 47.0°, I 81; 1.611 Å, 57.2°, I 19; 1.587 Å, 58.1°, I 45; 1.385 Å, 67.6°, I 24; 1.367 Å, 68.6°, I 23

```
data_Sr3CaV4O12
_cell_length_a 3.9818
_cell_length_b 10.9443
_cell_length_c 12.2175
_cell_angle_alpha 116.51
_cell_angle_beta 90.17
_cell_angle_gamma 90.05
_space_group_name_H-M_alt 'P 1'
_space_group_IT_number 1
_space_group_name_Hall 'P 1'
loop_
_atom_site_label
_atom_site_type_symbol
_atom_site_fract_x
_atom_site_fract_y
_atom_site_fract_z
Sr1 Sr 0.0000 0.0000 0.0000
Sr2 Sr 0.0001 0.1245 0.7489
Sr3 Sr 0.9995 0.6244 0.7485
Sr4 Sr 0.0006 0.3752 0.2508
Sr5 Sr 0.0006 0.4997 0.9995
Sr6 Sr 0.0014 0.8751 0.2508
Ca1 Ca 0.9999 0.2500 0.4999
Ca2 Ca 0.0000 0.7484 0.4992
V1 V 0.4995 0.8734 0.7470
V2 V 0.5003 0.2498 0.9998
V3 V 0.4998 0.3733 0.7469
V4 V 0.4998 0.4997 0.4995
V5 V 0.5000 0.7499 0.9996
V6 V 0.5013 0.9996 0.4999
V7 V 0.5010 0.1262 0.2529
V8 V 0.5021 0.6263 0.2521
O1 O 0.0003 0.2496 0.9998
O2 O 0.0005 0.5008 0.4997
O3 O 0.0004 0.7501 0.9998
O4 O 0.0014 0.1290 0.2573
O5 O 0.0008 0.9995 0.4999
O6 O 0.0018 0.6279 0.2553
O7 O 0.4952 0.1826 0.6185
O8 O 0.4967 0.6828 0.6179
O9 O 0.4979 0.8154 0.8702
O10 O 0.4984 0.9312 0.1222
O11 O 0.4993 0.3155 0.8701
O12 O 0.4991 0.4359 0.6276
O13 O 0.5001 0.0687 0.8785
O14 O 0.5011 0.1844 0.1300
O15 O 0.5005 0.4308 0.1211
O16 O 0.5005 0.5635 0.3713
O17 O 0.5012 0.9363 0.6281
O18 O 0.5018 0.0643 0.3726
O19 O 0.5020 0.6840 0.1289
O20 O 0.5030 0.5687 0.8776
O21 O 0.5049 0.3174 0.3816
O22 O 0.5056 0.8168 0.3811
O23 O 0.9992 0.3710 0.7430
O24 O 0.9993 0.8716 0.7438
```

***

3.
The following is a theoretical XRD peak list of SrCaVWO6. It was derived from DFT lattice parameters and positions (GGA+U), using a wavelength of 1.5418 Å.
Neutral-atom scattering factors, no anomalous dispersion.

Largest 10 diffraction maxima, by angle, 2θ = 10–80°:
4.634 Å, 19.2°, I 41; 4.014 Å, 22.1°, I 21; 2.838 Å, 31.5°, I 100; 2.420 Å, 37.1°, I 23; 2.007 Å, 45.2°, I 35; 1.842 Å, 49.5°, I 10; 1.639 Å, 56.1°, I 39; 1.545 Å, 59.9°, I 9; 1.419 Å, 65.8°, I 21; 1.269 Å, 74.8°, I 17

```
data_SrCaVWO6
_cell_length_a 5.6761
_cell_length_b 5.6761
_cell_length_c 5.6761
_cell_angle_alpha 60.00
_cell_angle_beta 60.00
_cell_angle_gamma 60.00
_space_group_name_H-M_alt 'P 1'
_space_group_IT_number 1
_space_group_name_Hall 'P 1'
loop_
_atom_site_label
_atom_site_type_symbol
_atom_site_fract_x
_atom_site_fract_y
_atom_site_fract_z
Sr1 Sr 0.0000 0.0000 0.0000
Ca1 Ca 0.5000 0.5000 0.5000
V1 V 0.2500 0.2500 0.2500
W1 W 0.7500 0.7500 0.7500
O1 O 0.5075 0.5075 0.9925
O2 O 0.5075 0.9925 0.5075
O3 O 0.5075 0.9925 0.9925
O4 O 0.9925 0.5075 0.5075
O5 O 0.9925 0.5075 0.9925
O6 O 0.9925 0.9925 0.5075
```

***

4.
The following is a theoretical XRD peak list of SrCaYVO6. It was derived from DFT lattice parameters and positions (GGA+U), using a wavelength of 1.5418 Å.
Neutral-atom scattering factors, no anomalous dispersion.

Largest 10 diffraction maxima, by angle, 2θ = 10–80°:
4.725 Å, 18.8°, I 11; 4.092 Å, 21.7°, I 5; 2.894 Å, 30.9°, I 100; 2.468 Å, 36.4°, I 9; 2.363 Å, 38.1°, I 5; 2.046 Å, 44.3°, I 41; 1.878 Å, 48.5°, I 6; 1.671 Å, 55.0°, I 37; 1.447 Å, 64.4°, I 23; 1.294 Å, 73.1°, I 17

```
data_SrCaYVO6
_cell_length_a 5.7870
_cell_length_b 5.7870
_cell_length_c 5.7870
_cell_angle_alpha 60.00
_cell_angle_beta 60.00
_cell_angle_gamma 60.00
_space_group_name_H-M_alt 'P 1'
_space_group_IT_number 1
_space_group_name_Hall 'P 1'
loop_
_atom_site_label
_atom_site_type_symbol
_atom_site_fract_x
_atom_site_fract_y
_atom_site_fract_z
Sr1 Sr 0.0000 0.0000 0.0000
Ca1 Ca 0.5000 0.5000 0.5000
Y1 Y 0.7500 0.7500 0.7500
V1 V 0.2500 0.2500 0.2500
O1 O 0.0188 0.0188 0.4812
O2 O 0.0188 0.4812 0.0188
O3 O 0.0188 0.4812 0.4812
O4 O 0.4812 0.0188 0.0188
O5 O 0.4812 0.0188 0.4812
O6 O 0.4812 0.4812 0.0188
```

***

5.
The following is a theoretical XRD peak list of SrCaZrVO6. It was derived from DFT lattice parameters and positions (GGA+U), using a wavelength of 1.5418 Å.
Neutral-atom scattering factors, no anomalous dispersion.

Largest 10 diffraction maxima, by angle, 2θ = 10–80°:
4.643 Å, 19.1°, I 13; 4.021 Å, 22.1°, I 5; 2.843 Å, 31.5°, I 100; 2.425 Å, 37.1°, I 9; 2.322 Å, 38.8°, I 5; 2.011 Å, 45.1°, I 41; 1.845 Å, 49.4°, I 5; 1.642 Å, 56.0°, I 38; 1.422 Å, 65.7°, I 23; 1.272 Å, 74.6°, I 16

```
data_SrCaZrVO6
_cell_length_a 5.6868
_cell_length_b 5.6868
_cell_length_c 5.6868
_cell_angle_alpha 60.00
_cell_angle_beta 60.00
_cell_angle_gamma 60.00
_space_group_name_H-M_alt 'P 1'
_space_group_IT_number 1
_space_group_name_Hall 'P 1'
loop_
_atom_site_label
_atom_site_type_symbol
_atom_site_fract_x
_atom_site_fract_y
_atom_site_fract_z
Sr1 Sr 0.0000 0.0000 0.0000
Ca1 Ca 0.5000 0.5000 0.5000
Zr1 Zr 0.7500 0.7500 0.7500
V1 V 0.2500 0.2500 0.2500
O1 O 0.0091 0.0091 0.4909
O2 O 0.0091 0.4909 0.0091
O3 O 0.0091 0.4909 0.4909
O4 O 0.4909 0.0091 0.0091
O5 O 0.4909 0.0091 0.4909
O6 O 0.4909 0.4909 0.0091
```

***

6.
The following is a theoretical XRD peak list of Ca2TaVO6. It was derived from DFT lattice parameters and positions (GGA+U), using a wavelength of 1.5418 Å.
Neutral-atom scattering factors, no anomalous dispersion.

Largest 10 diffraction maxima, by angle, 2θ = 10–80°:
5.676 Å, 15.6°, I 30; 5.493 Å, 16.1°, I 28; 3.947 Å, 22.5°, I 49; 3.876 Å, 22.9°, I 22; 3.201 Å, 27.9°, I 17; 2.838 Å, 31.5°, I 26; 2.766 Å, 32.4°, I 100; 2.746 Å, 32.6°, I 24; 1.624 Å, 56.7°, I 18; 1.589 Å, 58.0°, I 24

```
data_Ca2TaVO6
_cell_length_a 5.4926
_cell_length_b 7.7529
_cell_length_c 5.6761
_cell_angle_alpha 90.00
_cell_angle_beta 90.13
_cell_angle_gamma 90.00
_space_group_name_H-M_alt 'P 1'
_space_group_IT_number 1
_space_group_name_Hall 'P 1'
loop_
_atom_site_label
_atom_site_type_symbol
_atom_site_fract_x
_atom_site_fract_y
_atom_site_fract_z
Ca1 Ca 0.0131 0.2500 0.0435
Ca2 Ca 0.4862 0.2500 0.5623
Ca3 Ca 0.5138 0.7500 0.4377
Ca4 Ca 0.9869 0.7500 0.9565
Ta1 Ta 0.0000 0.0000 0.5000
Ta2 Ta 0.0000 0.5000 0.5000
V1 V 0.5000 0.0000 0.0000
V2 V 0.5000 0.5000 0.0000
O1 O 0.0939 0.7500 0.5284
O2 O 0.1963 0.0479 0.7871
O3 O 0.1963 0.4521 0.7871
O4 O 0.2898 0.0453 0.3018
O5 O 0.2898 0.4547 0.3018
O6 O 0.4214 0.7500 0.0205
O7 O 0.5786 0.2500 0.9795
O8 O 0.7103 0.5453 0.6982
O9 O 0.7103 0.9547 0.6982
O10 O 0.8037 0.5479 0.2129
O11 O 0.8037 0.9521 0.2129
O12 O 0.9061 0.2500 0.4716
```

***

7.
The following is a theoretical XRD peak list of Ca2TaWO6. It was derived from DFT lattice parameters and positions (GGA+U), using a wavelength of 1.5418 Å.
Neutral-atom scattering factors, no anomalous dispersion.

Largest 10 diffraction maxima, by angle, 2θ = 10–80°:
4.023 Å, 22.1°, I 100; 2.855 Å, 31.3°, I 80; 2.834 Å, 31.6°, I 74; 2.317 Å, 38.9°, I 13; 2.011 Å, 45.1°, I 41; 1.804 Å, 50.6°, I 29; 1.794 Å, 50.9°, I 21; 1.652 Å, 55.6°, I 14; 1.640 Å, 56.1°, I 33; 1.636 Å, 56.2°, I 20

```
data_Ca2TaWO6
_cell_length_a 5.7095
_cell_length_b 5.7095
_cell_length_c 5.7095
_cell_angle_alpha 59.53
_cell_angle_beta 59.53
_cell_angle_gamma 59.53
_space_group_name_H-M_alt 'P 1'
_space_group_IT_number 1
_space_group_name_Hall 'P 1'
loop_
_atom_site_label
_atom_site_type_symbol
_atom_site_fract_x
_atom_site_fract_y
_atom_site_fract_z
Ca1 Ca 0.0000 0.0000 0.0000
Ca2 Ca 0.4968 0.4968 0.4968
Ta1 Ta 0.2679 0.2679 0.2679
W1 W 0.7683 0.7683 0.7683
O1 O 0.0537 0.4167 0.6021
O2 O 0.1218 0.9393 0.5067
O3 O 0.4167 0.6021 0.0537
O4 O 0.5067 0.1218 0.9393
O5 O 0.6021 0.0537 0.4167
O6 O 0.9393 0.5067 0.1218
```

***

8.
The following is a theoretical XRD peak list of Ca2TaWO6. It was derived from DFT lattice parameters and positions (GGA+U), using a wavelength of 1.5418 Å.
Neutral-atom scattering factors, no anomalous dispersion.

Largest 10 diffraction maxima, by angle, 2θ = 10–80°:
4.000 Å, 22.2°, I 95; 2.875 Å, 31.1°, I 25; 2.828 Å, 31.6°, I 100; 2.786 Å, 32.1°, I 23; 2.000 Å, 45.3°, I 38; 1.789 Å, 51.1°, I 31; 1.651 Å, 55.7°, I 19; 1.617 Å, 57.0°, I 23; 1.414 Å, 66.1°, I 14; 1.265 Å, 75.1°, I 16

```
data_Ca2TaWO6
_cell_length_a 5.5721
_cell_length_b 5.7504
_cell_length_c 9.7435
_cell_angle_alpha 90.00
_cell_angle_beta 124.86
_cell_angle_gamma 90.00
_space_group_name_H-M_alt 'P 1'
_space_group_IT_number 1
_space_group_name_Hall 'P 1'
loop_
_atom_site_label
_atom_site_type_symbol
_atom_site_fract_x
_atom_site_fract_y
_atom_site_fract_z
Ca1 Ca 0.2357 0.0512 0.2483
Ca2 Ca 0.2357 0.4488 0.7483
Ca3 Ca 0.7643 0.5512 0.2517
Ca4 Ca 0.7643 0.9488 0.7517
Ta1 Ta 0.5000 0.0000 0.0000
Ta2 Ta 0.5000 0.5000 0.5000
W1 W 0.0000 0.0000 0.5000
W2 W 0.0000 0.5000 0.0000
O1 O 0.1576 0.1911 0.9489
O2 O 0.1576 0.3089 0.4489
O3 O 0.2558 0.7115 0.9429
O4 O 0.2558 0.7885 0.4429
O5 O 0.3631 0.0371 0.7604
O6 O 0.3631 0.4629 0.2604
O7 O 0.6369 0.5371 0.7396
O8 O 0.6369 0.9629 0.2396
O9 O 0.7442 0.2115 0.5571
O10 O 0.7442 0.2885 0.0571
O11 O 0.8424 0.6911 0.5511
O12 O 0.8424 0.8089 0.0511
```

***

9.
The following is a theoretical XRD peak list of Ca2TaWO6. It was derived from DFT lattice parameters and positions (GGA+U), using a wavelength of 1.5418 Å.
Neutral-atom scattering factors, no anomalous dispersion.

Largest 10 diffraction maxima, by angle, 2θ = 10–80°:
4.023 Å, 22.1°, I 51; 3.991 Å, 22.3°, I 100; 2.880 Å, 31.1°, I 40; 2.832 Å, 31.6°, I 80; 2.822 Å, 31.7°, I 79; 2.792 Å, 32.1°, I 37; 1.998 Å, 45.4°, I 20; 1.993 Å, 45.5°, I 21; 1.785 Å, 51.2°, I 36; 1.622 Å, 56.8°, I 37

```
data_Ca2TaWO6
_cell_length_a 5.5834
_cell_length_b 7.9727
_cell_length_c 5.7601
_cell_angle_alpha 90.00
_cell_angle_beta 90.39
_cell_angle_gamma 90.00
_space_group_name_H-M_alt 'P 1'
_space_group_IT_number 1
_space_group_name_Hall 'P 1'
loop_
_atom_site_label
_atom_site_type_symbol
_atom_site_fract_x
_atom_site_fract_y
_atom_site_fract_z
Ca1 Ca 0.0086 0.2500 0.4394
Ca2 Ca 0.4904 0.2500 0.9561
Ca3 Ca 0.5096 0.7500 0.0439
Ca4 Ca 0.9914 0.7500 0.5606
Ta1 Ta 0.5000 0.0000 0.5000
Ta2 Ta 0.5000 0.5000 0.5000
W1 W 0.0000 0.0000 0.0000
W2 W 0.0000 0.5000 0.0000
O1 O 0.1194 0.7500 0.9482
O2 O 0.2093 0.0489 0.6868
O3 O 0.2093 0.4511 0.6868
O4 O 0.3146 0.0516 0.2130
O5 O 0.3146 0.4484 0.2130
O6 O 0.4072 0.7500 0.4654
O7 O 0.5928 0.2500 0.5346
O8 O 0.6854 0.5516 0.7870
O9 O 0.6854 0.9484 0.7870
O10 O 0.7907 0.5489 0.3132
O11 O 0.7907 0.9511 0.3132
O12 O 0.8806 0.2500 0.0518
```

***

10.
The following is a theoretical XRD peak list of Ca2Ta2WO8. It was derived from DFT lattice parameters and positions (GGA+U), using a wavelength of 1.5418 Å.
Neutral-atom scattering factors, no anomalous dispersion.

Largest 10 diffraction maxima, by angle, 2θ = 10–80°:
4.515 Å, 19.7°, I 44; 3.557 Å, 25.0°, I 27; 3.437 Å, 25.9°, I 21; 3.288 Å, 27.1°, I 49; 2.879 Å, 31.1°, I 43; 2.774 Å, 32.3°, I 40; 2.760 Å, 32.4°, I 100; 1.858 Å, 49.0°, I 28; 1.594 Å, 57.8°, I 27; 1.558 Å, 59.3°, I 17

```
data_Ca2Ta2WO8
_cell_length_a 10.1234
_cell_length_b 10.1234
_cell_length_c 5.5286
_cell_angle_alpha 92.70
_cell_angle_beta 92.70
_cell_angle_gamma 36.68
_space_group_name_H-M_alt 'P 1'
_space_group_IT_number 1
_space_group_name_Hall 'P 1'
loop_
_atom_site_label
_atom_site_type_symbol
_atom_site_fract_x
_atom_site_fract_y
_atom_site_fract_z
Ca1 Ca 0.2024 0.2024 0.4881
Ca2 Ca 0.4446 0.1312 0.0168
Ca3 Ca 0.7976 0.7976 0.5119
Ca4 Ca 0.8688 0.5554 0.9832
Ta1 Ta 0.0817 0.6941 0.9922
Ta2 Ta 0.3059 0.9183 0.0078
Ta3 Ta 0.3472 0.4211 0.5138
Ta4 Ta 0.5789 0.6528 0.4862
W1 W 0.6875 0.3125 0.0000
W2 W 0.9545 0.0455 0.5000
O1 O 0.0160 0.0946 0.8535
O2 O 0.0893 0.5584 0.2662
O3 O 0.0950 0.7543 0.6452
O4 O 0.1686 0.2012 0.0837
O5 O 0.2004 0.4330 0.7720
O6 O 0.2457 0.9050 0.3548
O7 O 0.3790 0.4899 0.1738
O8 O 0.4416 0.9107 0.7338
O9 O 0.4758 0.1471 0.4198
O10 O 0.5101 0.6210 0.8262
O11 O 0.5670 0.7996 0.2280
O12 O 0.6323 0.2518 0.6534
O13 O 0.7482 0.3677 0.3466
O14 O 0.7988 0.8314 0.9163
O15 O 0.8529 0.5242 0.5802
O16 O 0.9054 0.9840 0.1465
```